1.
TaMoH4: calculated powder diffractogram (Cu Kα X-rays), based on a GGA-PBE-relaxed structure.
No peak broadening, texture or thermal motion is included.

Atomic structure:
a = 6.2753 Å, b = 6.3152 Å, c = 8.9962 Å
α = 90.00°, β = 90.00°, γ = 90.00°
Space group Fddd (No. 70, origin choice 2)
One atom of each set of equivalent atoms:
1 Ta 0.1250 0.1250 0.1250 (multiplicity 8)
2 Mo 0.1250 0.1250 0.6250 (multiplicity 8)
3 H 0.1218 0.3722 0.7494 (multiplicity 32)

Main lines, by intensity (2θ from 15° to 90°):
- hkl 0 2 2, 2θ 34.7, I = 100
- hkl 2 0 2, 2θ 34.9, I = 99
- hkl 2 2 0, 2θ 40.5, I = 63
- hkl 2 2 4, 2θ 58.3, I = 46
- hkl 0 0 4, 2θ 40.1, I = 32
- hkl 2 0 6, 2θ 69.4, I = 26
- hkl 2 4 2, 2θ 69.9, I = 26
- hkl 4 2 2, 2θ 70.2, I = 26


2.
K2HgS2: calculated powder diffractogram (Cu Kα X-rays), based on a GGA-PBE-relaxed structure.
No peak broadening, texture or thermal motion is included.

Atomic structure:
a = 10.8266 Å, b = 8.1269 Å, c = 7.3672 Å
α = 90.00°, β = 90.00°, γ = 90.00°
Space group Pbcm (No. 57)
One atom of each set of equivalent atoms:
1 K 0.1033 0.2500 0.0000 (multiplicity 4)
2 K 0.3882 0.0497 0.2500 (multiplicity 4)
3 Hg 0.2165 0.6631 0.2500 (multiplicity 4)
4 S 0.1081 0.5862 0.7500 (multiplicity 4)
5 S 0.3360 0.0779 0.7500 (multiplicity 4)

Main lines, by intensity (2θ from 15° to 90°):
- hkl 1 1 2, 2θ 27.8, I = 100
- hkl 0 0 2, 2θ 24.2, I = 79
- hkl 2 0 0, 2θ 16.4, I = 78
- hkl 1 3 1, 2θ 36.3, I = 66
- hkl 2 2 1, 2θ 30.1, I = 57
- hkl 1 1 1, 2θ 18.2, I = 56
- hkl 2 1 2, 2θ 31.4, I = 53
- hkl 3 1 1, 2θ 29.7, I = 52


3.
NaZn3: calculated powder diffractogram (Cu Kα X-rays), based on a GGA-PBE-relaxed structure.
No peak broadening, texture or thermal motion is included.

Atomic structure:
a = 2.7451 Å, b = 4.3832 Å, c = 6.1831 Å
α = 90.00°, β = 90.00°, γ = 90.00°
Space group Pmm2 (No. 25)
One atom of each set of equivalent atoms:
1 Na 0.0000 0.0000 0.0000 (multiplicity 1)
2 Zn 0.0000 0.5000 0.6578 (multiplicity 1)
3 Zn 0.5000 0.0000 0.5163 (multiplicity 1)
4 Zn 0.5000 0.5000 0.2628 (multiplicity 1)

Main lines, by intensity (2θ from 15° to 90°):
- hkl 1 1 1, 2θ 41.5, I = 100
- hkl 0 1 2, 2θ 35.5, I = 85
- hkl 1 0 1, 2θ 35.8, I = 41
- hkl 0 2 0, 2θ 41.2, I = 41
- hkl 1 0 3, 2θ 55.7, I = 37
- hkl 1 1 2, 2θ 49.0, I = 27
- hkl 0 1 3, 2θ 48.8, I = 18
- hkl 1 3 1, 2θ 75.3, I = 18